# 1
Diffraction record for HoTmCd4. The XRD peak list is simulated, not measured: it uses a cell relaxed with PBE and Cu Kα (λ = 1.5418 Å).
Neutral-atom scattering factors, no anomalous dispersion.

Cell and atoms:
```
HoTmCd4
1.0
3.376 0.000 0.000
0.000 4.929 0.000
-0.002 0.000 8.553
Ho Tm Cd
1 1 4
Cartesian
0.000 0.000 0.000 Ho
-0.001 2.465 4.277 Tm
1.669 0.000 5.698 Cd
1.670 2.465 1.430 Cd
1.705 0.000 2.855 Cd
1.704 2.465 7.123 Cd
```

Top 10 peaks for 10° ≤ 2θ ≤ 80°, sorted by position:
two_theta	I_rel
20.79	5
33.84	100
36.42	81
50.56	32
54.36	8
63.90	31
65.54	14
67.21	26
77.33	6
77.45	3



# 2
Diffraction record for YHoTm2Cd2. The XRD peak list is simulated, not measured: it uses a cell relaxed with PBE and Cu Kα (λ = 1.5418 Å).
Neutral-atom scattering factors, no anomalous dispersion.

Cell and atoms:
```
YHoTm2Cd2
1.0
5.338 0.000 0.000
0.000 1.812 8.420
0.000 -1.812 8.420
Y Ho Tm Cd
1 1 2 2
Cartesian
0.000 0.000 0.000 Y
2.669 0.000 3.001 Ho
0.000 0.000 5.289 Tm
2.669 0.000 14.529 Tm
0.000 0.000 11.090 Cd
2.669 0.000 8.755 Cd
```

Top 10 peaks for 10° ≤ 2θ ≤ 80°, sorted by position:
two_theta	I_rel
31.88	21
33.58	29
33.89	100
36.16	14
46.98	14
50.35	10
60.24	19
61.89	10
66.22	8
71.32	8